[1]
Computed PXRD pattern of Tl5InBi2 for Cu Kα, from a DFT-relaxed cell (GGA-PBE, Alexandria).
No peak broadening, texture or thermal motion is included.

Crystal structure
Cell lengths 7.1851, 14.3688, 4.8220 Å; angles 90.00, 90.00, 90.00 degrees
Element x y z (fractional)
Tl  0.0000  0.0000  0.0000
Tl  0.0152  0.2515  0.0000
Tl  0.2412  0.8755  0.5000
Tl  0.2588  0.3755  0.5000
Tl  0.4848  0.7515  0.0000
Tl  0.5000  0.5000  0.0000
Tl  0.5152  0.2485  0.0000
Tl  0.7412  0.6245  0.5000
Tl  0.7588  0.1245  0.5000
Tl  0.9848  0.7485  0.0000
In  0.0000  0.5000  0.0000
In  0.5000  0.0000  0.0000
Bi  0.2357  0.6190  0.5000
Bi  0.2643  0.1190  0.5000
Bi  0.7357  0.8810  0.5000
Bi  0.7643  0.3810  0.5000

The 6 most intense peaks (15 to 90 degrees two-theta), sorted by position:
31.0 deg, I 100.0
35.3 deg, I 34.9
37.3 deg, I 15.5
52.3 deg, I 23.2
60.8 deg, I 28.6
85.5 deg, I 16.8

***

[2]
Computed PXRD pattern of Ac2Nd2Se3S2 for Cu Kα, from a DFT-relaxed cell (GGA-PBE, Alexandria).
No peak broadening, texture or thermal motion is included.

Crystal structure
Cell lengths 8.6329, 8.6329, 8.6329 Å; angles 139.85, 139.85, 58.07 degrees
Element x y z (fractional)
Ac  0.2126  0.2126  0.0000
Ac  0.7874  0.7874  0.0000
Nd  0.0000  0.5000  0.5000
Nd  0.5000  0.0000  0.5000
Se  0.0000  0.0000  0.0000
Se  0.2500  0.7500  0.5000
Se  0.7500  0.2500  0.5000
S  0.4035  0.4035  0.0000
S  0.5965  0.5965  0.0000

The 6 most intense peaks (15 to 90 degrees two-theta), sorted by position:
23.6 deg, I 46.8
24.3 deg, I 54.6
30.2 deg, I 100.0
33.3 deg, I 43.8
38.6 deg, I 52.3
43.2 deg, I 37.4

***

[3]
Computed PXRD pattern of Nd2TeH2S for Cu Kα, from a DFT-relaxed cell (GGA-PBE, Alexandria).
No peak broadening, texture or thermal motion is included.

Crystal structure
Cell lengths 4.0358, 4.0358, 8.1516 Å; angles 90.00, 90.00, 120.00 degrees
Element x y z (fractional)
Nd  0.3333  0.6667  0.2262
Nd  0.6667  0.3333  0.7738
Te  0.0000  0.0000  0.5000
H  0.3333  0.6667  0.7647
H  0.6667  0.3333  0.2353
S  0.0000  0.0000  0.0000

The 6 most intense peaks (15 to 90 degrees two-theta), sorted by position:
27.8 deg, I 100.0
33.8 deg, I 77.4
42.1 deg, I 22.9
44.9 deg, I 37.3
57.4 deg, I 16.5
65.0 deg, I 19.2

***

[4]
Computed PXRD pattern of BaLiDyO3 for Cu Kα, from a DFT-relaxed cell (GGA-PBE, Alexandria).
No peak broadening, texture or thermal motion is included.

Crystal structure
Cell lengths 6.0368, 6.0368, 6.1742 Å; angles 90.00, 90.00, 120.00 degrees
Element x y z (fractional)
Ba  0.3333  0.6667  0.2500
Ba  0.6667  0.3333  0.7500
Li  0.3333  0.6667  0.7500
Li  0.6667  0.3333  0.2500
Dy  0.0000  0.0000  0.0000
Dy  0.0000  0.0000  0.5000
O  0.1610  0.3219  0.7500
O  0.1610  0.8390  0.7500
O  0.3219  0.1610  0.2500
O  0.6781  0.8390  0.7500
O  0.8390  0.1610  0.2500
O  0.8390  0.6781  0.2500

The 6 most intense peaks (15 to 90 degrees two-theta), sorted by position:
17.0 deg, I 51.5
22.3 deg, I 46.8
29.6 deg, I 100.0
33.7 deg, I 86.1
45.5 deg, I 49.7
55.2 deg, I 45.0

***

[5]
Computed PXRD pattern of CaCdSiO4 for Cu Kα, from a DFT-relaxed cell (GGA-PBE, Alexandria).
No peak broadening, texture or thermal motion is included.

Crystal structure
Cell lengths 5.5250, 5.5250, 6.7453 Å; angles 90.00, 90.00, 115.16 degrees
Element x y z (fractional)
Ca  0.0000  0.0000  0.0000
Ca  0.0000  0.0000  0.5000
Cd  0.3268  0.6732  0.7500
Cd  0.6732  0.3268  0.2500
Si  0.3540  0.6460  0.2500
Si  0.6460  0.3540  0.7500
O  0.2384  0.3137  0.2500
O  0.2479  0.7521  0.0550
O  0.2479  0.7521  0.4450
O  0.3137  0.2384  0.7500
O  0.6863  0.7616  0.2500
O  0.7521  0.2479  0.5550
O  0.7521  0.2479  0.9450
O  0.7616  0.6863  0.7500

The 6 most intense peaks (15 to 90 degrees two-theta), sorted by position:
22.1 deg, I 69.0
26.4 deg, I 32.6
30.2 deg, I 68.8
32.0 deg, I 94.0
32.5 deg, I 100.0
45.1 deg, I 33.6

***

[6]
Computed PXRD pattern of KCu6Se4 for Cu Kα, from a DFT-relaxed cell (GGA-PBE, Alexandria).
No peak broadening, texture or thermal motion is included.

Crystal structure
Cell lengths 13.1698, 13.1698, 13.1698 Å; angles 162.37, 162.37, 25.04 degrees
Element x y z (fractional)
K  0.0000  0.0000  0.0000
Cu  0.1282  0.6282  0.5000
Cu  0.2500  0.7500  0.5000
Cu  0.3718  0.8718  0.5000
Cu  0.6282  0.1282  0.5000
Cu  0.7500  0.2500  0.5000
Cu  0.8718  0.3718  0.5000
Se  0.1922  0.1922  0.0000
Se  0.4239  0.4239  0.0000
Se  0.5761  0.5761  0.0000
Se  0.8078  0.8078  0.0000

The 6 most intense peaks (15 to 90 degrees two-theta), sorted by position:
28.1 deg, I 71.5
42.3 deg, I 100.0
44.9 deg, I 59.2
47.6 deg, I 24.4
65.4 deg, I 22.1
81.0 deg, I 27.5

***

[7]
Computed PXRD pattern of Rb3Hg2Pt for Cu Kα, from a DFT-relaxed cell (GGA-PBE, Alexandria).
No peak broadening, texture or thermal motion is included.

Crystal structure
Cell lengths 7.6057, 7.6057, 10.9171 Å; angles 112.85, 112.85, 80.89 degrees
Element x y z (fractional)
Rb  0.0974  0.9026  0.7500
Rb  0.2794  0.6515  0.0305
Rb  0.3485  0.7206  0.4695
Rb  0.6515  0.2794  0.5305
Rb  0.7206  0.3485  0.9695
Rb  0.9026  0.0974  0.2500
Hg  0.1934  0.2690  0.6375
Hg  0.2690  0.1934  0.1375
Hg  0.7310  0.8066  0.8625
Hg  0.8066  0.7310  0.3625
Pt  0.4328  0.5672  0.7500
Pt  0.5672  0.4328  0.2500

The 6 most intense peaks (15 to 90 degrees two-theta), sorted by position:
18.0 deg, I 46.7
18.6 deg, I 100.0
25.4 deg, I 44.9
28.6 deg, I 41.8
31.8 deg, I 40.1
36.1 deg, I 36.7

***

[8]
Computed PXRD pattern of Gd3Mn for Cu Kα, from a DFT-relaxed cell (GGA-PBE, Alexandria).
No peak broadening, texture or thermal motion is included.

Crystal structure
Cell lengths 5.3303, 5.3303, 5.3303 Å; angles 60.00, 60.00, 60.00 degrees
Element x y z (fractional)
Gd  0.0000  0.0000  0.0000
Gd  0.2500  0.2500  0.2500
Gd  0.7500  0.7500  0.7500
Mn  0.5000  0.5000  0.5000

The 6 most intense peaks (15 to 90 degrees two-theta), sorted by position:
20.4 deg, I 8.0
33.6 deg, I 100.0
48.3 deg, I 18.0
60.1 deg, I 37.1
70.7 deg, I 11.4
80.6 deg, I 15.9

***

[9]
Computed PXRD pattern of ZrGaCuGe for Cu Kα, from a DFT-relaxed cell (GGA-PBE, Alexandria).
No peak broadening, texture or thermal motion is included.

Crystal structure
Cell lengths 3.8673, 3.8673, 9.0218 Å; angles 90.00, 90.00, 90.00 degrees
Element x y z (fractional)
Zr  0.2500  0.2500  0.2465
Zr  0.7500  0.7500  0.7535
Ga  0.2500  0.7500  0.5000
Ga  0.7500  0.2500  0.5000
Cu  0.2500  0.7500  0.0000
Cu  0.7500  0.2500  0.0000
Ge  0.2500  0.2500  0.8110
Ge  0.7500  0.7500  0.1890

The 6 most intense peaks (15 to 90 degrees two-theta), sorted by position:
38.5 deg, I 100.0
40.0 deg, I 15.1
47.0 deg, I 32.1
63.4 deg, I 14.7
68.6 deg, I 9.8
81.6 deg, I 20.7

***

[10]
Computed PXRD pattern of Sm11Er4Tm9 for Cu Kα, from a DFT-relaxed cell (GGA-PBE, Alexandria).
No peak broadening, texture or thermal motion is included.

Crystal structure
Cell lengths 15.2143, 15.2143, 3.6213 Å; angles 90.00, 90.00, 113.21 degrees
Element x y z (fractional)
Sm  0.0000  0.0000  0.0000
Sm  0.0430  0.4055  0.0000
Sm  0.1606  0.8394  0.0000
Sm  0.2922  0.2922  0.0000
Sm  0.3684  0.6316  0.0000
Sm  0.4055  0.0430  0.0000
Sm  0.5945  0.9570  0.0000
Sm  0.6316  0.3684  0.0000
Sm  0.7078  0.7078  0.0000
Sm  0.8394  0.1606  0.0000
Sm  0.9570  0.5945  0.0000
Er  0.2413  0.4447  0.5000
Er  0.4447  0.2413  0.5000
Er  0.5553  0.7587  0.5000
Er  0.7587  0.5553  0.5000
Tm  0.0684  0.2140  0.5000
Tm  0.1658  0.6303  0.5000
Tm  0.2140  0.0684  0.5000
Tm  0.3697  0.8342  0.5000
Tm  0.5000  0.5000  0.5000
Tm  0.6303  0.1658  0.5000
Tm  0.7860  0.9316  0.5000
Tm  0.8342  0.3697  0.5000
Tm  0.9316  0.7860  0.5000

The 6 most intense peaks (15 to 90 degrees two-theta), sorted by position:
30.0 deg, I 100.0
30.4 deg, I 30.4
31.3 deg, I 31.2
32.5 deg, I 83.6
32.7 deg, I 84.3
59.8 deg, I 28.6

***

[11]
Computed PXRD pattern of Ca2Zn3Ga for Cu Kα, from a DFT-relaxed cell (GGA-PBE, Alexandria).
No peak broadening, texture or thermal motion is included.

Crystal structure
Cell lengths 5.7819, 5.7819, 7.3431 Å; angles 129.41, 129.41, 46.00 degrees
Element x y z (fractional)
Ca  0.0000  0.0000  0.0000
Ca  0.0918  0.0918  0.5897
Zn  0.3807  0.3807  0.1913
Zn  0.7082  0.7082  0.0103
Zn  0.7099  0.7099  0.4058
Ga  0.3824  0.3824  0.5728

The 6 most intense peaks (15 to 90 degrees two-theta), sorted by position:
32.9 deg, I 51.2
33.5 deg, I 100.0
33.7 deg, I 39.3
38.6 deg, I 51.8
39.9 deg, I 56.6
40.4 deg, I 92.4

***

[12]
Computed PXRD pattern of AlBiCl6 for Cu Kα, from a DFT-relaxed cell (GGA-PBE, Alexandria).
No peak broadening, texture or thermal motion is included.

Crystal structure
Cell lengths 8.3845, 12.0146, 12.3312 Å; angles 90.00, 106.80, 90.00 degrees
Element x y z (fractional)
Al  0.0084  0.2237  0.2799
Al  0.0084  0.2763  0.7799
Al  0.9916  0.7237  0.2201
Al  0.9916  0.7763  0.7201
Bi  0.3011  0.5339  0.8519
Bi  0.3011  0.9661  0.3519
Bi  0.6989  0.0339  0.6481
Bi  0.6989  0.4661  0.1481
Cl  0.0344  0.1232  0.4277
Cl  0.0344  0.3768  0.9277
Cl  0.0478  0.1017  0.8164
Cl  0.0478  0.3983  0.3164
Cl  0.1866  0.1547  0.1987
Cl  0.1866  0.3453  0.6987
Cl  0.2388  0.7165  0.3396
Cl  0.2388  0.7835  0.8396
Cl  0.4816  0.5796  0.7321
Cl  0.4816  0.9204  0.2321
Cl  0.4928  0.6313  0.0484
Cl  0.4928  0.8687  0.5484
Cl  0.5072  0.1313  0.4516
Cl  0.5072  0.3687  0.9516
Cl  0.5184  0.0796  0.7679
Cl  0.5184  0.4204  0.2679
Cl  0.7612  0.2165  0.1604
Cl  0.7612  0.2835  0.6604
Cl  0.8134  0.6547  0.3013
Cl  0.8134  0.8453  0.8013
Cl  0.9522  0.6017  0.6836
Cl  0.9522  0.8983  0.1836
Cl  0.9656  0.6232  0.0723
Cl  0.9656  0.8768  0.5723

The 6 most intense peaks (15 to 90 degrees two-theta), sorted by position:
15.0 deg, I 43.6
15.9 deg, I 100.0
16.8 deg, I 44.4
21.1 deg, I 57.7
25.8 deg, I 53.7
30.7 deg, I 56.0